This entry pairs a crystal structure of Li4Ti3Nb2Cr3O16 with its simulated powder diffraction line list. Radiation: Cu Kα (λ = 1.5418 Å). Structure: a crystal structure in Alexandria, relaxed with PBE+U.

The 8 most intense peaks (15° ≤ 2θ ≤ 90°), sorted by position:
two_theta  I (rel.)
19.25  95.1
19.39  100.0
32.52  39.3
34.85  33.1
35.15  65.8
35.70  30.3
44.74  31.1
61.69  35.3

Crystal structure
```
28
Lattice="5.214 -2.998 0.000 5.214 2.998 0.000 -0.124 0.000 9.785" Properties=species:S:1:pos:R:3 pbc="T T T"
Li 0.000 0.000 0.000
Li 0.004 0.000 4.879
Li 3.558 0.000 0.883
Li 6.949 0.000 5.736
Ti 4.194 1.476 7.545
Ti 4.194 -1.476 7.545
Ti 8.672 0.000 2.612
Nb 3.499 0.000 4.844
Nb 6.784 0.000 9.774
Cr 1.676 0.000 7.649
Cr 6.136 1.473 2.733
Cr 6.136 -1.473 2.733
O -0.078 0.000 6.704
O 0.018 0.000 1.818
O 2.738 1.368 6.349
O 4.380 1.515 3.858
O 1.760 0.000 3.913
O 5.919 1.470 8.828
O 3.440 0.000 8.653
O 4.994 0.000 6.385
O 2.738 -1.368 6.349
O 5.487 0.000 1.491
O 7.812 1.317 1.485
O 4.380 -1.515 3.858
O 7.060 0.000 3.749
O 5.919 -1.470 8.828
O 8.603 0.000 8.728
O 7.812 -1.317 1.485
```